Starting from the GGA-PBE geometry in Alexandria, the X-ray diffraction stick pattern of Tb7Ho2 was simulated for Cu Kα X-rays.

Most intense lines, 2θ = 15–90°, low angle first:
- hkl 1 1 1, 2θ 30.9, I = 100
- hkl 2 -1 2, 2θ 35.8, I = 51
- hkl 3 0 0, 2θ 51.6, I = 36
- hkl 3 0 3, 2θ 61.4, I = 43
- hkl 4 1 1, 2θ 84.2, I = 18
- hkl 3 0 6, 2θ 86.9, I = 17

Cell and atoms:
```
data_Tb7Ho2
_cell_length_a 6.1389
_cell_length_b 6.1389
_cell_length_c 8.6750
_cell_angle_alpha 90.00
_cell_angle_beta 90.00
_cell_angle_gamma 120.00
_space_group_name_H-M_alt 'P -3 1 m'
_space_group_IT_number 162
_space_group_name_Hall '-P 3 2'
loop_
_atom_site_label
_atom_site_type_symbol
_atom_site_fract_x
_atom_site_fract_y
_atom_site_fract_z
Tb1 Tb 0.0000 0.0000 0.0000
Tb2 Tb 0.0000 0.3335 0.6674
Ho1 Ho 0.3333 0.6667 0.0000
```